# 1
Diffraction record for ErScZnCu. The powder XRD pattern is calculated, not measured: it uses a DFT-relaxed cell (PBE, Alexandria) and Cu Kα, 1.54184 Å.
Neutral-atom scattering factors, no anomalous dispersion.

a b c (Å): 6.8038 6.8038 6.8038
angles (deg): 90.00 90.00 90.00
Space group F-43m (No. 216)
Inequivalent atoms, fractional coordinates:
1 Er 0.0000 0.0000 0.0000 [4 per cell]
2 Sc 0.0000 0.0000 0.5000 [4 per cell]
3 Zn 0.2500 0.2500 0.2500 [4 per cell]
4 Cu 0.2500 0.2500 0.7500 [4 per cell]

Most intense lines, 2θ = 10–80°, in order of falling intensity:
37.38°, intensity 100
67.43°, intensity 33
22.64°, intensity 28
53.90°, intensity 17
44.15°, intensity 15
79.73°, intensity 10
59.19°, intensity 7
72.14°, intensity 5
26.20°, intensity 5
60.89°, intensity 2
46.22°, intensity 1


# 2
Diffraction record for LiPm5Se6. The powder XRD pattern is calculated, not measured: it uses a DFT-relaxed cell (PBE, Alexandria) and Cu Kα, 1.54184 Å.
Neutral-atom scattering factors, no anomalous dispersion.

a b c (Å): 7.2052 12.4897 7.2240
angles (deg): 90.00 109.51 90.00
Space group C2/m (No. 12)
Inequivalent atoms, fractional coordinates:
1 Li 0.0000 0.0000 0.0000 [2 per cell]
2 Pm 0.0000 0.1677 0.5000 [4 per cell]
3 Pm 0.0000 0.3348 0.0000 [4 per cell]
4 Pm 0.0000 0.5000 0.5000 [2 per cell]
5 Se 0.2395 0.0000 0.7581 [4 per cell]
6 Se 0.2413 0.1611 0.2429 [8 per cell]

Most intense lines, 2θ = 10–80°, in order of falling intensity:
30.35°, intensity 100
43.46°, intensity 74
71.70°, intensity 22
53.91°, intensity 19
79.78°, intensity 12
63.15°, intensity 12
71.59°, intensity 11
26.21°, intensity 9
54.01°, intensity 6
79.67°, intensity 6
79.88°, intensity 6
51.47°, intensity 4


Copy entry 1 word for word.
Diffraction record for ErScZnCu. The powder XRD pattern is calculated, not measured: it uses a DFT-relaxed cell (PBE, Alexandria) and Cu Kα, 1.54184 Å.
Neutral-atom scattering factors, no anomalous dispersion.

a b c (Å): 6.8038 6.8038 6.8038
angles (deg): 90.00 90.00 90.00
Space group F-43m (No. 216)
Inequivalent atoms, fractional coordinates:
1 Er 0.0000 0.0000 0.0000 [4 per cell]
2 Sc 0.0000 0.0000 0.5000 [4 per cell]
3 Zn 0.2500 0.2500 0.2500 [4 per cell]
4 Cu 0.2500 0.2500 0.7500 [4 per cell]

Most intense lines, 2θ = 10–80°, in order of falling intensity:
37.38°, intensity 100
67.43°, intensity 33
22.64°, intensity 28
53.90°, intensity 17
44.15°, intensity 15
79.73°, intensity 10
59.19°, intensity 7
72.14°, intensity 5
26.20°, intensity 5
60.89°, intensity 2
46.22°, intensity 1


Please write out number 2 again, unchanged.
Diffraction record for LiPm5Se6. The powder XRD pattern is calculated, not measured: it uses a DFT-relaxed cell (PBE, Alexandria) and Cu Kα, 1.54184 Å.
Neutral-atom scattering factors, no anomalous dispersion.

a b c (Å): 7.2052 12.4897 7.2240
angles (deg): 90.00 109.51 90.00
Space group C2/m (No. 12)
Inequivalent atoms, fractional coordinates:
1 Li 0.0000 0.0000 0.0000 [2 per cell]
2 Pm 0.0000 0.1677 0.5000 [4 per cell]
3 Pm 0.0000 0.3348 0.0000 [4 per cell]
4 Pm 0.0000 0.5000 0.5000 [2 per cell]
5 Se 0.2395 0.0000 0.7581 [4 per cell]
6 Se 0.2413 0.1611 0.2429 [8 per cell]

Most intense lines, 2θ = 10–80°, in order of falling intensity:
30.35°, intensity 100
43.46°, intensity 74
71.70°, intensity 22
53.91°, intensity 19
79.78°, intensity 12
63.15°, intensity 12
71.59°, intensity 11
26.21°, intensity 9
54.01°, intensity 6
79.67°, intensity 6
79.88°, intensity 6
51.47°, intensity 4